Entry 1:
This entry pairs a crystal structure of PrSnAuS3 with its simulated powder diffractogram. Radiation: copper Kα. Structure: a GGA-PBE-relaxed structure.
Intensities are scaled so that the largest is 100.

Largest 8 diffraction maxima, in order of rising 2θ, 2θ = 5–70°:
- 13.47 deg, d 6.576, I 63
- 16.58 deg, d 5.346, I 27
- 27.12 deg, d 3.288, I 32
- 28.54 deg, d 3.128, I 86
- 31.27 deg, d 2.860, I 69
- 33.53 deg, d 2.673, I 46
- 34.56 deg, d 2.595, I 100
- 39.51 deg, d 2.281, I 29

Structural model:
```
data_PrSnAuS3
_cell_length_a 6.878
_cell_length_b 6.878
_cell_length_c 10.691
_cell_angle_alpha 90.00
_cell_angle_beta 90.00
_cell_angle_gamma 145.89
_space_group_name_H-M_alt 'P 1'
_space_group_IT_number 1
loop_
_space_group_symop_operation_xyz
'x,y,z'
loop_
_atom_site_label
_atom_site_type_symbol
_atom_site_fract_x
_atom_site_fract_y
_atom_site_fract_z
Pr1 Pr 0.000 0.000 0.000
Pr2 Pr 0.000 0.000 0.500
Sn1 Sn 0.241 0.759 0.750
Sn2 Sn 0.759 0.241 0.250
Au1 Au 0.468 0.532 0.250
Au2 Au 0.532 0.468 0.750
S1 S 0.095 0.905 0.250
S2 S 0.352 0.648 0.065
S3 S 0.352 0.648 0.435
S4 S 0.648 0.352 0.565
S5 S 0.648 0.352 0.935
S6 S 0.905 0.095 0.750
```

Entry 2:
This entry pairs a crystal structure of SrPrTe2AuS with its simulated powder diffractogram. Radiation: copper Kα. Structure: a GGA-PBE-relaxed structure.
Intensities are scaled so that the largest is 100.

Largest 8 diffraction maxima, in order of rising 2θ, 2θ = 5–70°:
- 12.06 deg, d 7.338, I 40
- 26.88 deg, d 3.317, I 39
- 28.59 deg, d 3.122, I 32
- 32.03 deg, d 2.795, I 100
- 32.70 deg, d 2.739, I 26
- 40.58 deg, d 2.223, I 36
- 41.33 deg, d 2.185, I 49
- 55.33 deg, d 1.660, I 28

Structural model:
```
data_SrPrTe2AuS
_cell_length_a 7.656
_cell_length_b 7.656
_cell_length_c 10.856
_cell_angle_alpha 90.00
_cell_angle_beta 90.00
_cell_angle_gamma 146.82
_space_group_name_H-M_alt 'P 1'
_space_group_IT_number 1
loop_
_space_group_symop_operation_xyz
'x,y,z'
loop_
_atom_site_label
_atom_site_type_symbol
_atom_site_fract_x
_atom_site_fract_y
_atom_site_fract_z
Sr1 Sr 0.224 0.776 0.750
Sr2 Sr 0.776 0.224 0.250
Pr1 Pr 0.500 0.500 0.000
Pr2 Pr 0.500 0.500 0.500
Te1 Te 0.153 0.847 0.064
Te2 Te 0.153 0.847 0.436
Te3 Te 0.847 0.153 0.564
Te4 Te 0.847 0.153 0.936
Au1 Au 0.022 0.978 0.250
Au2 Au 0.978 0.022 0.750
S1 S 0.422 0.578 0.250
S2 S 0.578 0.422 0.750
```

Copy entry 2 word for word.
This entry pairs a crystal structure of SrPrTe2AuS with its simulated powder diffractogram. Radiation: copper Kα. Structure: a GGA-PBE-relaxed structure.
Intensities are scaled so that the largest is 100.

Largest 8 diffraction maxima, in order of rising 2θ, 2θ = 5–70°:
- 12.06 deg, d 7.338, I 40
- 26.88 deg, d 3.317, I 39
- 28.59 deg, d 3.122, I 32
- 32.03 deg, d 2.795, I 100
- 32.70 deg, d 2.739, I 26
- 40.58 deg, d 2.223, I 36
- 41.33 deg, d 2.185, I 49
- 55.33 deg, d 1.660, I 28

Structural model:
```
data_SrPrTe2AuS
_cell_length_a 7.656
_cell_length_b 7.656
_cell_length_c 10.856
_cell_angle_alpha 90.00
_cell_angle_beta 90.00
_cell_angle_gamma 146.82
_space_group_name_H-M_alt 'P 1'
_space_group_IT_number 1
loop_
_space_group_symop_operation_xyz
'x,y,z'
loop_
_atom_site_label
_atom_site_type_symbol
_atom_site_fract_x
_atom_site_fract_y
_atom_site_fract_z
Sr1 Sr 0.224 0.776 0.750
Sr2 Sr 0.776 0.224 0.250
Pr1 Pr 0.500 0.500 0.000
Pr2 Pr 0.500 0.500 0.500
Te1 Te 0.153 0.847 0.064
Te2 Te 0.153 0.847 0.436
Te3 Te 0.847 0.153 0.564
Te4 Te 0.847 0.153 0.936
Au1 Au 0.022 0.978 0.250
Au2 Au 0.978 0.022 0.750
S1 S 0.422 0.578 0.250
S2 S 0.578 0.422 0.750
```